The following is a calculated powder X-ray diffraction pattern of NaNdFeWO6. It was derived from a crystal structure in Alexandria, relaxed with PBE+U, using Cu Kα (weighted mean of Kα1 and Kα2).
Kinematic intensities with the Lorentz-polarization factor, no thermal factor.

Main lines, in order of rising 2θ (2θ from 10° to 90°):
2theta, Rel. int.
11.0, 52
19.3, 64
25.1, 51
31.7, 100
31.8, 98
31.9, 48
32.2, 48
46.0, 50
56.2, 34
56.8, 34

Atomic structure:
Lattice parameters (Å, degrees): 5.566 5.604 8.068 90.00 90.27 90.00
Fractional coordinates of all 20 atoms:
1 Na 0.249 0.000 0.001
2 Na 0.751 0.500 0.999
3 Nd 0.240 0.924 0.498
4 Nd 0.760 0.424 0.502
5 Fe 0.250 0.468 0.242
6 Fe 0.750 0.968 0.758
7 W 0.259 0.475 0.762
8 W 0.741 0.975 0.238
9 O 0.026 0.181 0.307
10 O 0.054 0.204 0.689
11 O 0.171 0.443 0.983
12 O 0.342 0.501 0.510
13 O 0.426 0.773 0.783
14 O 0.454 0.791 0.222
15 O 0.546 0.291 0.778
16 O 0.574 0.273 0.217
17 O 0.658 0.001 0.490
18 O 0.829 0.943 0.017
19 O 0.946 0.704 0.311
20 O 0.974 0.681 0.693